Diffraction record for SmZnPO. The powder diffractogram is simulated, not measured: it uses a structure optimized by DFT (GGA-PBE) and Cu Kα X-rays.
No peak broadening, texture or thermal motion is included.

Top 10 peaks for 10 to 90 degrees two-theta, by angle:
hkl 1 0 1, d 3.412, 2θ = 26.1°, rel. 22
hkl 1 0 4, d 3.137, 2θ = 28.5°, rel. 100
hkl 0 1 5, d 3.001, 2θ = 29.8°, rel. 77
hkl 1 0 7, d 2.709, 2θ = 33.1°, rel. 31
hkl 0 0 12, d 2.574, 2θ = 34.9°, rel. 33
hkl 0 1 8, d 2.565, 2θ = 35.0°, rel. 18
hkl 1 0 10, d 2.296, 2θ = 39.2°, rel. 41
hkl 1 1 0, d 1.982, 2θ = 45.8°, rel. 76
hkl 1 0 16, d 1.683, 2θ = 54.5°, rel. 23
hkl 1 1 12, d 1.570, 2θ = 58.8°, rel. 47

Atomic structure:
```
data_SmZnPO
_chemical_formula_sum 'Sm6 Zn6 P6 O6'
_cell_length_a 3.9641
_cell_length_b 3.9641
_cell_length_c 30.8849
_cell_angle_alpha 90.00
_cell_angle_beta 90.00
_cell_angle_gamma 120.00
_symmetry_space_group_name_H-M 'R -3 m'
_symmetry_Int_Tables_number 166
_symmetry_space_group_name_Hall '-R 3 2"'
loop_
_atom_site_label
_atom_site_type_symbol
_atom_site_fract_x
_atom_site_fract_y
_atom_site_fract_z
Sm1 Sm 0.0000 0.0000 0.1193
Zn1 Zn 0.0000 0.0000 0.3037
P1 P 0.0000 0.0000 0.3868
O1 O 0.0000 0.0000 0.1948
```

=====

Diffraction record for Sn2P3O10. The powder diffractogram is simulated, not measured: it uses a structure optimized by DFT (GGA-PBE) and Cu Kα X-rays.
No peak broadening, texture or thermal motion is included.

Top 10 peaks for 10 to 90 degrees two-theta, by angle:
hkl 1 1 0, d 7.158, 2θ = 12.4°, rel. 17
hkl 0 2 0, d 5.278, 2θ = 16.8°, rel. 14
hkl 2 0 0, d 4.870, 2θ = 18.2°, rel. 10
hkl 1 1 1, d 4.774, 2θ = 18.6°, rel. 14
hkl 1 1 -2, d 4.589, 2θ = 19.3°, rel. 100
hkl 3 1 0, d 3.103, 2θ = 28.8°, rel. 32
hkl 1 3 -2, d 2.894, 2θ = 30.9°, rel. 17
hkl 4 0 -2, d 2.802, 2θ = 31.9°, rel. 14
hkl 2 2 2, d 2.387, 2θ = 37.7°, rel. 10
hkl 2 2 -4, d 2.292, 2θ = 39.3°, rel. 20

Atomic structure:
```
data_Sn2P3O10
_chemical_formula_sum 'Sn8 P12 O40'
_cell_length_a 11.228
_cell_length_b 10.556
_cell_length_c 10.192
_cell_angle_alpha 90.00
_cell_angle_beta 119.84
_cell_angle_gamma 90.00
_symmetry_space_group_name_H-M 'C 1 2/c 1'
_symmetry_Int_Tables_number 15
loop_
_symmetry_equiv_pos_as_xyz
'x,y,z'
'-x,-y,-z'
'-x,y,-z+1/2'
'x,-y,z+1/2'
'x+1/2,y+1/2,z'
'-x+1/2,-y+1/2,-z'
'-x+1/2,y+1/2,-z+1/2'
'x+1/2,-y+1/2,z+1/2'
loop_
_atom_site_label
_atom_site_type_symbol
_atom_site_fract_x
_atom_site_fract_y
_atom_site_fract_z
Sn1 Sn 0.162 0.016 0.093
P1 P 0.000 0.404 0.750
P2 P 0.166 0.241 0.666
O1 O 0.026 0.311 0.643
O2 O 0.127 0.481 0.851
O3 O 0.133 0.192 0.511
O4 O 0.188 0.120 0.765
O5 O 0.219 0.161 0.261
```

=====

Diffraction record for Sn2PO5. The powder diffractogram is simulated, not measured: it uses a structure optimized by DFT (GGA-PBE) and Cu Kα X-rays.
No peak broadening, texture or thermal motion is included.

Top 10 peaks for 10 to 90 degrees two-theta, by angle:
hkl 1 1 -1, d 4.970, 2θ = 17.8°, rel. 21
hkl 1 1 0, d 4.782, 2θ = 18.6°, rel. 16
hkl 0 2 0, d 3.860, 2θ = 23.0°, rel. 67
hkl 2 0 0, d 3.044, 2θ = 29.3°, rel. 100
hkl 2 1 -3, d 2.718, 2θ = 33.0°, rel. 46
hkl 2 2 0, d 2.392, 2θ = 37.6°, rel. 23
hkl 0 3 3, d 2.031, 2θ = 44.6°, rel. 15
hkl 2 3 -3, d 1.926, 2θ = 47.2°, rel. 14
hkl 2 1 3, d 1.837, 2θ = 49.6°, rel. 15
hkl 4 1 -3, d 1.626, 2θ = 56.6°, rel. 13

Atomic structure:
```
data_Sn2PO5
_chemical_formula_sum 'Sn8 P4 O20'
_cell_length_a 6.664
_cell_length_b 7.723
_cell_length_c 10.868
_cell_angle_alpha 90.00
_cell_angle_beta 113.94
_cell_angle_gamma 90.00
_symmetry_space_group_name_H-M 'P 1 21/c 1'
_symmetry_Int_Tables_number 14
loop_
_symmetry_equiv_pos_as_xyz
'x,y,z'
'-x,-y,-z'
'-x,y+1/2,-z+1/2'
'x,-y+1/2,z+1/2'
loop_
_atom_site_label
_atom_site_type_symbol
_atom_site_fract_x
_atom_site_fract_y
_atom_site_fract_z
Sn1 Sn 0.240 0.022 0.340
Sn2 Sn 0.258 0.548 0.516
P1 P 0.279 0.606 0.213
O1 O 0.072 0.034 0.124
O2 O 0.098 0.031 0.682
O3 O 0.259 0.700 0.082
O4 O 0.271 0.733 0.324
O5 O 0.495 0.011 0.230
```

=====

Diffraction record for Sn3P3O13. The powder diffractogram is simulated, not measured: it uses a structure optimized by DFT (GGA-PBE) and Cu Kα X-rays.
No peak broadening, texture or thermal motion is included.

Top 10 peaks for 10 to 90 degrees two-theta, by angle:
hkl 1 0 -1, d 6.697, 2θ = 13.2°, rel. 40
hkl 0 1 1, d 5.669, 2θ = 15.6°, rel. 75
hkl 1 0 -2, d 4.750, 2θ = 18.7°, rel. 100
hkl 1 1 -1, d 4.709, 2θ = 18.8°, rel. 37
hkl 2 0 1, d 3.497, 2θ = 25.5°, rel. 60
hkl 0 2 1, d 3.170, 2θ = 28.2°, rel. 30
hkl 1 0 3, d 3.155, 2θ = 28.3°, rel. 53
hkl 1 2 1, d 2.895, 2θ = 30.9°, rel. 44
hkl 2 0 -3, d 2.830, 2θ = 31.6°, rel. 38
hkl 0 2 3, d 2.454, 2θ = 36.6°, rel. 30

Atomic structure:
```
data_Sn3P3O13
_chemical_formula_sum 'Sn6 P6 O26'
_cell_length_a 7.750
_cell_length_b 6.622
_cell_length_c 11.053
_cell_angle_alpha 90.00
_cell_angle_beta 97.07
_cell_angle_gamma 90.00
_symmetry_space_group_name_H-M 'P 1 21/m 1'
_symmetry_Int_Tables_number 11
loop_
_symmetry_equiv_pos_as_xyz
'x,y,z'
'-x,-y,-z'
'-x,y+1/2,-z'
'x,-y+1/2,z'
loop_
_atom_site_label
_atom_site_type_symbol
_atom_site_fract_x
_atom_site_fract_y
_atom_site_fract_z
Sn1 Sn 0.000 0.000 0.000
Sn2 Sn 0.218 0.250 0.549
Sn3 Sn 0.363 0.750 0.202
P1 P 0.219 0.750 0.479
P2 P 0.251 0.250 0.228
P3 P 0.308 0.250 0.881
O1 O 0.036 0.750 0.403
O2 O 0.084 0.250 0.121
O3 O 0.125 0.750 0.091
O4 O 0.177 0.250 0.349
O5 O 0.210 0.055 0.908
O6 O 0.249 0.566 0.566
O7 O 0.348 0.250 0.743
O8 O 0.356 0.750 0.387
O9 O 0.357 0.062 0.203
O10 O 0.498 0.250 0.946
```

=====

Diffraction record for Sn2P2O7. The powder diffractogram is simulated, not measured: it uses a structure optimized by DFT (GGA-PBE) and Cu Kα X-rays.
No peak broadening, texture or thermal motion is included.

Top 10 peaks for 10 to 90 degrees two-theta, by angle:
hkl 1 0 -2, d 4.726, 2θ = 18.8°, rel. 40
hkl 2 0 0, d 3.501, 2θ = 25.4°, rel. 23
hkl 1 2 -2, d 3.358, 2θ = 26.5°, rel. 100
hkl 2 1 -2, d 3.313, 2θ = 26.9°, rel. 29
hkl 1 0 2, d 3.219, 2θ = 27.7°, rel. 62
hkl 1 3 0, d 2.896, 2θ = 30.9°, rel. 42
hkl 2 2 0, d 2.823, 2θ = 31.7°, rel. 49
hkl 2 3 -2, d 2.364, 2θ = 38.1°, rel. 42
hkl 0 0 4, d 2.233, 2θ = 40.4°, rel. 31
hkl 3 3 0, d 1.882, 2θ = 48.4°, rel. 24

Atomic structure:
```
data_Sn2P2O7
_chemical_formula_sum 'Sn8 P8 O28'
_cell_length_a 7.654
_cell_length_b 9.544
_cell_length_c 9.754
_cell_angle_alpha 90.00
_cell_angle_beta 113.83
_cell_angle_gamma 90.00
_symmetry_space_group_name_H-M 'P 1 21/c 1'
_symmetry_Int_Tables_number 14
loop_
_symmetry_equiv_pos_as_xyz
'x,y,z'
'-x,-y,-z'
'-x,y+1/2,-z+1/2'
'x,-y+1/2,z+1/2'
loop_
_atom_site_label
_atom_site_type_symbol
_atom_site_fract_x
_atom_site_fract_y
_atom_site_fract_z
Sn1 Sn 0.236 0.051 0.111
Sn2 Sn 0.245 0.052 0.627
P1 P 0.104 0.748 0.302
P2 P 0.496 0.740 0.060
O1 O 0.082 0.244 0.169
O2 O 0.101 0.627 0.704
O3 O 0.146 0.605 0.253
O4 O 0.268 0.723 0.971
O5 O 0.412 0.247 0.553
O6 O 0.453 0.105 0.342
O7 O 0.472 0.123 0.848
```

=====

Diffraction record for SnP2O7. The powder diffractogram is simulated, not measured: it uses a structure optimized by DFT (GGA-PBE) and Cu Kα X-rays.
No peak broadening, texture or thermal motion is included.

Top 10 peaks for 10 to 90 degrees two-theta, by angle:
hkl 1 1 1, d 4.821, 2θ = 18.4°, rel. 56
hkl 2 0 0, d 4.175, 2θ = 21.3°, rel. 100
hkl 2 1 0, d 3.734, 2θ = 23.8°, rel. 25
hkl 2 1 1, d 3.409, 2θ = 26.1°, rel. 29
hkl 2 2 0, d 2.952, 2θ = 30.3°, rel. 42
hkl 3 1 1, d 2.518, 2θ = 35.7°, rel. 50
hkl 3 3 1, d 1.916, 2θ = 47.5°, rel. 16
hkl 4 0 2, d 1.867, 2θ = 48.8°, rel. 35
hkl 4 2 2, d 1.705, 2θ = 53.8°, rel. 30
hkl 5 1 1, d 1.607, 2θ = 57.3°, rel. 31

Atomic structure:
```
data_SnP2O7
_chemical_formula_sum 'Sn4 P8 O28'
_cell_length_a 8.350
_cell_length_b 8.350
_cell_length_c 8.350
_cell_angle_alpha 90.00
_cell_angle_beta 90.00
_cell_angle_gamma 90.00
_symmetry_space_group_name_H-M 'P a -3'
_symmetry_Int_Tables_number 205
_symmetry_space_group_name_Hall '-P 2ac 2ab 3'
loop_
_atom_site_label
_atom_site_type_symbol
_atom_site_fract_x
_atom_site_fract_y
_atom_site_fract_z
Sn1 Sn 0.000 0.000 0.000
P1 P 0.110 0.610 0.890
O1 O 0.000 0.000 0.500
O2 O 0.052 0.719 0.406
```

=====

Diffraction record for Sn2P2O7. The powder diffractogram is simulated, not measured: it uses a structure optimized by DFT (GGA-PBE) and Cu Kα X-rays.
No peak broadening, texture or thermal motion is included.

Top 10 peaks for 10 to 90 degrees two-theta, by angle:
hkl 1 0 -1, d 4.509, 2θ = 19.7°, rel. 36
hkl 1 2 0, d 3.598, 2θ = 24.7°, rel. 84
hkl 2 1 1, d 3.390, 2θ = 26.3°, rel. 99
hkl 1 -1 1, d 3.350, 2θ = 26.6°, rel. 29
hkl -1 1 1, d 3.306, 2θ = 27.0°, rel. 32
hkl 0 1 2, d 3.255, 2θ = 27.4°, rel. 44
hkl 0 2 0, d 3.232, 2θ = 27.6°, rel. 39
hkl 0 1 -2, d 3.039, 2θ = 29.4°, rel. 100
hkl 2 2 -1, d 2.632, 2θ = 34.1°, rel. 34
hkl 3 1 0, d 2.330, 2θ = 38.6°, rel. 46

Atomic structure:
```
data_Sn2P2O7
_chemical_formula_sum 'Sn4 P4 O14'
_cell_length_a 7.145
_cell_length_b 7.301
_cell_length_c 7.306
_cell_angle_alpha 81.65
_cell_angle_beta 80.77
_cell_angle_gamma 62.65
_symmetry_space_group_name_H-M 'P -1'
_symmetry_Int_Tables_number 2
loop_
_symmetry_equiv_pos_as_xyz
'x,y,z'
'-x,-y,-z'
loop_
_atom_site_label
_atom_site_type_symbol
_atom_site_fract_x
_atom_site_fract_y
_atom_site_fract_z
Sn1 Sn 0.093 0.240 0.172
Sn2 Sn 0.297 0.620 0.328
P1 P 0.217 0.252 0.664
P2 P 0.355 0.826 0.855
O1 O 0.061 0.364 0.833
O2 O 0.089 0.229 0.527
O3 O 0.227 0.769 0.744
O4 O 0.249 0.889 0.051
O5 O 0.359 0.354 0.577
O6 O 0.384 0.024 0.744
O7 O 0.415 0.346 0.142
```